HgMoO4: theoretical PXRD pattern (Cu Kα, 1.54184 Å), based on a structure optimized by DFT (PBE+U).

Crystal structure
```
data_HgMoO4
_cell_length_a 11.4251
_cell_length_b 6.3353
_cell_length_c 5.2793
_cell_angle_alpha 90.00
_cell_angle_beta 111.96
_cell_angle_gamma 90.00
_symmetry_space_group_name_H-M 'C 1 2/c 1'
_symmetry_Int_Tables_number 15
loop_
_symmetry_equiv_pos_as_xyz
'x,y,z'
'-x,-y,-z'
'-x,y,-z+1/2'
'x,-y,z+1/2'
'x+1/2,y+1/2,z'
'-x+1/2,-y+1/2,-z'
'-x+1/2,y+1/2,-z+1/2'
'x+1/2,-y+1/2,z+1/2'
loop_
_atom_site_label
_atom_site_type_symbol
_atom_site_fract_x
_atom_site_fract_y
_atom_site_fract_z
Hg1 Hg 0.2500 0.2500 0.0000
Mo1 Mo 0.0000 0.1844 0.2500
O1 O 0.0979 0.0899 0.0311
O2 O 0.1135 0.3558 0.4678
```

Top 10 peaks for 2θ = 10–90°, low angle first:
Position (°2θ)	I/Imax	index
21.97	16.2	1 1 -1
26.74	100.0	1 1 1
28.17	35.2	0 2 0
28.73	84.1	3 1 -1
33.84	18.6	4 0 0
34.12	25.7	2 0 -2
44.59	22.1	4 2 0
44.81	22.9	2 2 -2
46.32	18.5	2 0 2
55.21	13.8	5 1 1